For Co3CuSe5, a cell relaxed with GGA-PBE gives the calculated X-ray powder pattern in this record (Cu Kα, 1.54184 Å).
No peak broadening, texture or thermal motion is included.

Main lines, sorted by position (10° ≤ 2θ ≤ 80°):
2θ = 13.1°, intensity 57.8, (0 0 1)
2θ = 32.8°, intensity 72.4, (1 0 2)
2θ = 33.6°, intensity 93.3, (1 1 0)
2θ = 41.3°, intensity 27.7, (2 0 1)
2θ = 43.2°, intensity 28.9, (1 1 2)
2θ = 47.7°, intensity 100.0, (2 0 2)
2θ = 54.2°, intensity 19.6, (0 0 4)
2θ = 59.6°, intensity 25.3, (2 1 2)
2θ = 65.3°, intensity 24.4, (1 1 4)
2θ = 70.7°, intensity 26.0, (2 2 0)

Structural model:
Lattice parameters (Å, degrees): 5.3280 5.3280 6.7661 90.00 90.00 120.00
Element x y z (fractional)
Co  0.0000  0.5000  0.0000
Co  0.5000  0.0000  0.0000
Co  0.5000  0.5000  0.0000
Cu  0.0000  0.0000  0.5000
Se  0.0000  0.0000  0.0000
Se  0.3333  0.6667  0.2626
Se  0.3333  0.6667  0.7374
Se  0.6667  0.3333  0.2626
Se  0.6667  0.3333  0.7374


For Tm2CoCuSi4, a cell relaxed with GGA-PBE gives the calculated X-ray powder pattern in this record (Cu Kα, 1.54184 Å).
No peak broadening, texture or thermal motion is included.

Main lines, sorted by position (10° ≤ 2θ ≤ 80°):
2θ = 21.5°, intensity 38.1, (0 0 4)
2θ = 23.2°, intensity 22.1, (0 1 1)
2θ = 25.0°, intensity 31.6, (1 0 2)
2θ = 31.3°, intensity 26.9, (1 0 4)
2θ = 32.5°, intensity 76.7, (1 1 1)
2θ = 35.4°, intensity 69.3, (0 1 5)
2θ = 36.1°, intensity 100.0, (1 1 3)
2θ = 39.9°, intensity 30.2, (1 0 6)
2θ = 46.0°, intensity 57.5, (2 0 0)
2θ = 59.4°, intensity 30.6, (2 1 5)

Structural model:
Lattice parameters (Å, degrees): 3.9449 3.9478 16.5456 90.00 90.00 90.00
Element x y z (fractional)
Tm  0.0000  0.0000  0.0000
Tm  0.0000  0.5000  0.5000
Tm  0.5000  0.0000  0.2113
Tm  0.5000  0.5000  0.7113
Co  0.5000  0.0000  0.4237
Co  0.5000  0.5000  0.9237
Cu  0.0000  0.0000  0.7733
Cu  0.0000  0.5000  0.2733
Si  0.0000  0.0000  0.3574
Si  0.0000  0.0000  0.6367
Si  0.0000  0.5000  0.1367
Si  0.0000  0.5000  0.8574
Si  0.5000  0.0000  0.5580
Si  0.5000  0.0000  0.8571
Si  0.5000  0.5000  0.0580
Si  0.5000  0.5000  0.3571


For ZrCoCuSi2, a cell relaxed with GGA-PBE gives the calculated X-ray powder pattern in this record (Cu Kα, 1.54184 Å).
No peak broadening, texture or thermal motion is included.

Main lines, sorted by position (10° ≤ 2θ ≤ 80°):
2θ = 25.5°, intensity 14.0, (1 0 1)
2θ = 35.7°, intensity 16.7, (0 0 4)
2θ = 36.0°, intensity 35.9, (1 0 3)
2θ = 38.6°, intensity 100.0, (1 1 2)
2θ = 48.9°, intensity 36.3, (2 0 0)
2θ = 51.6°, intensity 16.1, (1 0 5)
2θ = 62.0°, intensity 12.2, (2 0 4)
2θ = 62.2°, intensity 13.9, (2 1 3)
2θ = 66.0°, intensity 14.6, (1 1 6)
2θ = 71.6°, intensity 10.9, (2 2 0)

Structural model:
Lattice parameters (Å, degrees): 3.7269 3.7269 10.0679 90.00 90.00 90.00
Element x y z (fractional)
Zr  0.0000  0.0000  0.0000
Zr  0.5000  0.5000  0.5000
Co  0.0000  0.5000  0.2500
Co  0.5000  0.0000  0.7500
Cu  0.0000  0.5000  0.7500
Cu  0.5000  0.0000  0.2500
Si  0.0000  0.0000  0.3845
Si  0.0000  0.0000  0.6155
Si  0.5000  0.5000  0.1155
Si  0.5000  0.5000  0.8845


For CoCuSn2, a cell relaxed with GGA-PBE gives the calculated X-ray powder pattern in this record (Cu Kα, 1.54184 Å).
No peak broadening, texture or thermal motion is included.

Main lines, sorted by position (10° ≤ 2θ ≤ 80°):
2θ = 23.3°, intensity 10.2, (1 1 1)
2θ = 38.5°, intensity 100.0, (2 2 0)
2θ = 45.5°, intensity 6.0, (3 1 1)
2θ = 55.5°, intensity 17.1, (4 0 0)
2θ = 61.0°, intensity 2.8, (3 3 1)
2θ = 69.6°, intensity 34.8, (4 2 2)
2θ = 74.5°, intensity 2.4, (5 1 1)

Structural model:
Lattice parameters (Å, degrees): 6.6177 6.6177 6.6177 90.00 90.00 90.00
Element x y z (fractional)
Co  0.0000  0.0000  0.0000
Co  0.0000  0.5000  0.5000
Co  0.5000  0.0000  0.5000
Co  0.5000  0.5000  0.0000
Cu  0.2500  0.2500  0.7500
Cu  0.2500  0.7500  0.2500
Cu  0.7500  0.2500  0.2500
Cu  0.7500  0.7500  0.7500
Sn  0.0000  0.0000  0.5000
Sn  0.0000  0.5000  0.0000
Sn  0.2500  0.2500  0.2500
Sn  0.2500  0.7500  0.7500
Sn  0.5000  0.0000  0.0000
Sn  0.5000  0.5000  0.5000
Sn  0.7500  0.2500  0.7500
Sn  0.7500  0.7500  0.2500